# Ca2AgSbS4
Simulated powder diffraction line list, a wavelength of 1.5418 Å. Input: a crystal structure in Alexandria, relaxed with PBE.
Intensities are scaled so that the largest is 100.

Structural model:
```
data_Ca2AgSbS4
_symmetry_space_group_name_H-M 'F m m 2'
_symmetry_Int_Tables_number 42
_symmetry_space_group_name_Hall 'F 2 -2'
_cell_length_a 7.986
_cell_length_b 11.456
_cell_length_c 8.062
_cell_angle_alpha 90.00
_cell_angle_beta 90.00
_cell_angle_gamma 90.00
loop_
_atom_site_label
_atom_site_type_symbol
_atom_site_fract_x
_atom_site_fract_y
_atom_site_fract_z
Ca1 Ca 0.250 0.250 0.000
Ag1 Ag 0.000 0.000 0.212
Sb1 Sb 0.000 0.000 0.728
S1 S 0.000 0.242 0.748
S2 S 0.232 0.000 0.517
```

Largest 8 diffraction maxima, sorted by position, 10° ≤ 2θ ≤ 90°:
Position (°2θ)  intensity  index
15.47  31  0 2 0
22.05  18  0 0 2
27.05  29  0 2 2
27.22  26  2 2 0
31.23  55  0 4 0
31.54  100  2 0 2
44.98  85  2 4 2
56.16  18  4 4 0